Calculated powder diffractogram of Na3Ni2P2C2O14 for Cu Kα X-rays, from DFT lattice parameters and positions (PBE+U).

Most intense lines, 2θ from 15° to 90°, sorted by position:
d (Å)	2theta	I/Imax	(hkl)
5.295	16.74	55	-1 1 1
5.208	17.03	51	1 -1 1
4.514	19.67	35	1 1 -1
4.413	20.12	52	1 1 1
4.037	22.02	58	2 0 0
3.632	24.51	31	2 0 1
3.418	26.07	77	1 1 -2
3.247	27.47	100	2 -2 0
2.646	33.88	35	-3 1 1
2.628	34.12	38	1 -3 1
2.604	34.44	58	1 1 -3
2.576	34.82	56	2 2 0

Cell and atoms:
Unit cell a=8.284 b=8.300 c=8.928 alpha=90.15 beta=91.71 gamma=103.13
Space group P-1 (No. 2)
Inequivalent atoms, fractional coordinates:
Na 0.097 0.140 0.242
Na 0.378 0.377 0.744
Na 0.380 0.867 0.251
Ni 0.017 0.762 0.153
Ni 0.481 0.733 0.844
P 0.237 0.486 0.072
P 0.270 0.021 0.924
C 0.013 0.270 0.575
C 0.479 0.233 0.425
O 0.035 0.284 0.438
O 0.093 0.336 0.036
O 0.102 0.843 0.366
O 0.105 0.367 0.674
O 0.139 0.079 0.824
O 0.185 0.620 0.167
O 0.197 0.948 0.072
O 0.311 0.554 0.923
O 0.336 0.900 0.826
O 0.367 0.431 0.176
O 0.384 0.140 0.323
O 0.405 0.656 0.632
O 0.416 0.174 0.961
O 0.458 0.215 0.563